Nd5Ho3Tl2: theoretical X-ray powder pattern (Cu Kα, 1.54184 Å), based on the PBE geometry in Alexandria.
Intensities are scaled so that the largest is 1000.

Main lines, in order of falling intensity (2θ = 10–90°):
2θ (°)	intensity
29.50	1000
34.86	987
29.27	980
38.49	971
52.98	512
25.75	485
35.67	365
35.87	345
19.83	244
52.74	214

Structure:
a = 13.292 Å, b = 15.419 Å, c = 6.585 Å
α = 90.00°, β = 90.00°, γ = 90.00°
Space group Ibam (No. 72)
Inequivalent atoms, fractional coordinates:
Nd1 0.000 0.000 0.250 (multiplicity 4)
Nd2 0.122 0.165 0.000 (multiplicity 8)
Nd3 0.249 0.500 0.250 (multiplicity 8)
Ho1 0.000 0.500 0.250 (multiplicity 4)
Ho2 0.110 0.276 0.500 (multiplicity 8)
Tl1 0.123 0.358 0.000 (multiplicity 8)

***

NdHo4Tl7: theoretical X-ray powder pattern (Cu Kα, 1.54184 Å), based on the PBE geometry in Alexandria.
Intensities are scaled so that the largest is 1000.

Main lines, in order of falling intensity (2θ = 10–90°):
2θ (°)	intensity
34.28	1000
37.51	988
31.09	932
31.67	521
44.97	403
28.61	402
59.61	361
67.21	265
42.75	254
22.05	240

Structure:
a = 13.373 Å, b = 5.754 Å, c = 11.439 Å
α = 90.00°, β = 123.91°, γ = 90.00°
Space group C2/m (No. 12)
Inequivalent atoms, fractional coordinates:
Nd1 0.000 0.000 0.000 (multiplicity 2)
Ho1 0.086 0.500 0.783 (multiplicity 4)
Ho2 0.220 0.500 0.329 (multiplicity 4)
Tl1 0.000 0.500 0.000 (multiplicity 2)
Tl2 0.079 0.000 0.330 (multiplicity 4)
Tl3 0.135 0.500 0.546 (multiplicity 4)
Tl4 0.215 0.000 0.895 (multiplicity 4)

***

NdHo2Tl: theoretical X-ray powder pattern (Cu Kα, 1.54184 Å), based on the PBE geometry in Alexandria.
Intensities are scaled so that the largest is 1000.

Main lines, in order of falling intensity (2θ = 10–90°):
2θ (°)	intensity
33.48	1000
29.09	618
37.14	306
38.04	289
32.77	252
26.66	221
54.21	208
64.63	152
50.35	152
51.06	146

Structure:
a = 4.731 Å, b = 4.842 Å, c = 11.183 Å
α = 90.00°, β = 102.15°, γ = 90.00°
Space group P2_1/m (No. 11)
Inequivalent atoms, fractional coordinates:
Nd1 0.192 0.250 0.385 (multiplicity 2)
Ho1 0.057 0.750 0.113 (multiplicity 2)
Ho2 0.436 0.750 0.873 (multiplicity 2)
Tl1 0.339 0.250 0.676 (multiplicity 2)

***

Nd2Ho3Tl3: theoretical X-ray powder pattern (Cu Kα, 1.54184 Å), based on the PBE geometry in Alexandria.
Intensities are scaled so that the largest is 1000.

Main lines, in order of falling intensity (2θ = 10–90°):
2θ (°)	intensity
31.98	1000
36.41	197
34.91	185
62.75	147
39.82	142
60.77	139
51.32	125
67.40	119
66.86	113
55.05	112

Structure:
a = 4.527 Å, b = 4.936 Å, c = 20.563 Å
α = 90.00°, β = 90.00°, γ = 90.00°
Space group Immm (No. 71)
Inequivalent atoms, fractional coordinates:
Nd1 0.000 0.000 0.240 (multiplicity 4)
Ho1 0.000 0.000 0.000 (multiplicity 2)
Ho2 0.000 0.500 0.117 (multiplicity 4)
Tl1 0.000 0.000 0.500 (multiplicity 2)
Tl2 0.000 0.500 0.377 (multiplicity 4)

***

Nd3Ho8Tl: theoretical X-ray powder pattern (Cu Kα, 1.54184 Å), based on the PBE geometry in Alexandria.
Intensities are scaled so that the largest is 1000.

Main lines, in order of falling intensity (2θ = 10–90°):
2θ (°)	intensity
36.48	1000
29.17	783
31.76	677
24.30	657
44.84	649
33.27	626
43.66	490
25.95	417
14.47	343
69.94	280

Structure:
a = 8.659 Å, b = 8.659 Å, c = 11.271 Å
α = 90.00°, β = 90.00°, γ = 90.00°
Space group I-42m (No. 121)
Inequivalent atoms, fractional coordinates:
Nd1 0.000 0.000 0.000 (multiplicity 2)
Nd2 0.000 0.500 0.250 (multiplicity 4)
Ho1 0.127 0.127 0.246 (multiplicity 8)
Ho2 0.248 0.248 0.985 (multiplicity 8)
Tl1 0.000 0.000 0.500 (multiplicity 2)

***

Nd4Ho8Tm: theoretical X-ray powder pattern (Cu Kα, 1.54184 Å), based on the PBE geometry in Alexandria.
Intensities are scaled so that the largest is 1000.

Main lines, in order of falling intensity (2θ = 10–90°):
2θ (°)	intensity
32.54	1000
58.04	280
46.69	181
77.59	154
19.76	95
58.14	92
22.85	88
68.11	57
68.22	56
25.60	53

Structure:
a = 11.0129 Å, b = 11.0129 Å, c = 13.4607 Å
α = 90.00°, β = 90.00°, γ = 120.00°
Space group R-3m (No. 166, hexagonal axes)
Inequivalent atoms, fractional coordinates:
Nd1 0.0000 0.0000 0.0000 (multiplicity 3)
Nd2 0.0000 0.5000 0.0000 (multiplicity 9)
Ho1 0.0000 0.0000 0.2405 (multiplicity 6)
Ho2 0.0123 0.5062 0.7467 (multiplicity 18)
Tm1 0.0000 0.0000 0.5000 (multiplicity 3)

***

NdHo4Tm15: theoretical X-ray powder pattern (Cu Kα, 1.54184 Å), based on the PBE geometry in Alexandria.
Intensities are scaled so that the largest is 1000.

Main lines, in order of falling intensity (2θ = 10–90°):
2θ (°)	intensity
31.28	1000
36.27	506
62.15	425
52.23	359
85.43	179
88.21	168
65.25	122
77.00	57

Structure:
a = 4.954 Å, b = 4.954 Å, c = 24.767 Å
α = 90.00°, β = 90.00°, γ = 90.00°
Space group P4/mmm (No. 123)
Inequivalent atoms, fractional coordinates:
Nd1 0.000 0.000 0.000 (multiplicity 1)
Ho1 0.000 0.000 0.201 (multiplicity 2)
Ho2 0.000 0.000 0.400 (multiplicity 2)
Tm1 0.000 0.500 0.102 (multiplicity 4)
Tm2 0.000 0.500 0.301 (multiplicity 4)
Tm3 0.000 0.500 0.500 (multiplicity 2)
Tm4 0.500 0.500 0.000 (multiplicity 1)
Tm5 0.500 0.500 0.202 (multiplicity 2)
Tm6 0.500 0.500 0.400 (multiplicity 2)

***

Nd5Ho2Tm4: theoretical X-ray powder pattern (Cu Kα, 1.54184 Å), based on the PBE geometry in Alexandria.
Intensities are scaled so that the largest is 1000.

Main lines, in order of falling intensity (2θ = 10–90°):
2θ (°)	intensity
32.42	1000
31.70	698
28.27	666
30.12	572
35.71	525
37.00	502
30.40	314
62.20	310
10.44	285
27.19	257

Structure:
a = 3.518 Å, b = 9.079 Å, c = 23.521 Å
α = 90.00°, β = 90.00°, γ = 90.00°
Space group Immm (No. 71)
Inequivalent atoms, fractional coordinates:
Nd1 0.000 0.000 0.000 (multiplicity 2)
Nd2 0.000 0.299 0.355 (multiplicity 8)
Ho1 0.000 0.500 0.230 (multiplicity 4)
Tm1 0.000 0.184 0.500 (multiplicity 4)
Tm2 0.000 0.500 0.096 (multiplicity 4)